Record 1
For Pm6TlFe2, DFT lattice parameters and positions (GGA-PBE) gives the calculated powder X-ray diffraction pattern in this record (Cu Kα (λ = 1.5418 Å)).

Crystal structure
```
Pm6TlFe2
1.0
-4.8557 5.0267 5.1436
4.8557 -5.0267 5.1436
4.8557 5.0267 -5.1436
Pm Tl Fe
12 2 4
Cartesian
4.8557 2.8591 -2.8355
2.8254 1.8921 0.0000
6.8860 1.8921 0.0000
1.9703 5.0267 -1.9425
2.8853 0.0000 3.2011
0.0000 2.1676 2.3081
4.8557 2.8591 2.8355
1.9703 5.0267 1.9425
2.8853 0.0000 7.0861
-2.0303 3.1347 5.1436
2.0303 3.1347 5.1436
0.0000 2.1676 7.9790
0.0000 0.0000 0.0000
0.0000 0.0000 5.1436
4.8557 0.0000 1.0881
0.0000 3.9290 0.0000
0.0000 6.1244 0.0000
0.0000 5.0267 4.0555
```

Peak list (10 most intense, 5° ≤ 2θ ≤ 70°, in order of rising 2θ)
| two_theta | intensity |
| --- | --- |
| 28.97 | 21 |
| 30.95 | 100 |
| 33.21 | 52 |
| 33.64 | 16 |
| 34.89 | 14 |
| 35.72 | 12 |
| 37.03 | 17 |
| 53.66 | 12 |
| 57.71 | 18 |
| 65.63 | 11 |


Record 2
For PmU2Fe9, DFT lattice parameters and positions (GGA-PBE) gives the calculated powder X-ray diffraction pattern in this record (Cu Kα (λ = 1.5418 Å)).

Crystal structure
```
PmU2Fe9
1.0
2.4843 1.4343 8.2317
-2.4843 1.4343 8.2317
0.0000 -2.8686 8.2317
Pm U Fe
1 2 9
Cartesian
0.0000 0.0000 0.0000
0.0000 0.0000 3.6319
0.0000 0.0000 21.0631
-1.2387 -0.7151 10.2679
0.0000 0.0000 8.2304
0.0000 -1.4303 14.4271
-1.2387 0.7151 14.4271
0.0000 0.0000 12.3475
1.2387 -0.7151 10.2679
0.0000 1.4303 10.2679
0.0000 0.0000 16.4646
1.2387 0.7151 14.4271
```

Peak list (10 most intense, 5° ≤ 2θ ≤ 70°, in order of rising 2θ)
| two_theta | intensity |
| --- | --- |
| 10.75 | 30 |
| 20.96 | 18 |
| 21.59 | 14 |
| 32.83 | 57 |
| 35.80 | 23 |
| 36.16 | 57 |
| 42.17 | 42 |
| 42.50 | 100 |
| 62.93 | 18 |
| 69.39 | 23 |


Record 3
For Pm3U2Fe4, DFT lattice parameters and positions (GGA-PBE) gives the calculated powder X-ray diffraction pattern in this record (Cu Kα (λ = 1.5418 Å)).

Crystal structure
```
Pm3U2Fe4
1.0
5.5942 -1.9894 0.0000
5.5942 1.9894 0.0000
-2.0954 0.0000 8.3344
Pm U Fe
3 2 4
Cartesian
0.0000 0.0000 0.0000
2.9005 0.0000 5.1719
6.1925 0.0000 3.1625
3.1654 0.0000 1.8278
5.9277 0.0000 6.5066
-0.3106 0.0000 5.4412
1.0495 0.0000 7.5881
8.0435 0.0000 0.7463
9.4036 0.0000 2.8932
```

Peak list (10 most intense, 5° ≤ 2θ ≤ 70°, in order of rising 2θ)
| two_theta | intensity |
| --- | --- |
| 25.30 | 34 |
| 30.06 | 41 |
| 30.77 | 69 |
| 32.11 | 57 |
| 32.43 | 64 |
| 33.48 | 100 |
| 42.13 | 59 |
| 43.35 | 29 |
| 45.60 | 42 |
| 62.74 | 30 |


Record 4
For Pr3Fe, DFT lattice parameters and positions (GGA-PBE) gives the calculated powder X-ray diffraction pattern in this record (Cu Kα (λ = 1.5418 Å)).

Crystal structure
```
Pr3Fe
1.0
-1.8421 5.4887 2.8803
1.8421 -5.4887 2.8803
1.8421 5.4887 -2.8803
Pr Fe
3 1
Cartesian
0.0000 0.0000 0.0000
1.8421 3.3854 0.0090
0.0000 2.1034 2.8892
0.0000 5.4887 0.3607
```

Peak list (10 most intense, 5° ≤ 2θ ≤ 70°, in order of rising 2θ)
| two_theta | intensity |
| --- | --- |
| 25.50 | 20 |
| 28.91 | 50 |
| 31.05 | 39 |
| 33.16 | 100 |
| 40.60 | 15 |
| 44.08 | 12 |
| 48.25 | 13 |
| 56.59 | 19 |
| 58.32 | 14 |
| 58.50 | 17 |


Record 5
For PrFeRu, DFT lattice parameters and positions (GGA-PBE) gives the calculated powder X-ray diffraction pattern in this record (Cu Kα (λ = 1.5418 Å)).

Crystal structure
```
PrFeRu
1.0
-2.6482 2.7787 3.7423
2.6482 -2.7787 3.7423
2.6482 2.7787 -3.7423
Pr Fe Ru
2 2 2
Cartesian
0.0000 1.3893 0.9485
2.6482 1.3893 2.7938
1.3241 1.3893 -1.8711
1.3241 -1.3893 1.8711
2.6482 0.0000 0.0000
0.0000 0.0000 3.7423
```

Peak list (10 most intense, 5° ≤ 2θ ≤ 70°, in order of rising 2θ)
| two_theta | intensity |
| --- | --- |
| 33.46 | 72 |
| 33.85 | 30 |
| 38.51 | 100 |
| 39.58 | 86 |
| 39.95 | 47 |
| 40.43 | 29 |
| 41.79 | 24 |
| 62.43 | 21 |
| 63.67 | 22 |
| 64.70 | 21 |


Record 6
For Pr2FeSi2Ru, DFT lattice parameters and positions (GGA-PBE) gives the calculated powder X-ray diffraction pattern in this record (Cu Kα (λ = 1.5418 Å)).

Crystal structure
```
Pr2FeSi2Ru
1.0
4.1507 0.0000 0.0000
0.0000 4.1507 0.0000
0.0000 0.0000 7.0718
Pr Fe Si Ru
2 1 2 1
Cartesian
0.0000 2.0753 1.2840
2.0753 0.0000 5.7878
0.0000 0.0000 3.5359
0.0000 2.0753 4.7165
2.0753 0.0000 2.3553
2.0753 2.0753 3.5359
```

Peak list (10 most intense, 5° ≤ 2θ ≤ 70°, in order of rising 2θ)
| two_theta | intensity |
| --- | --- |
| 24.87 | 100 |
| 33.04 | 69 |
| 33.29 | 77 |
| 38.18 | 26 |
| 39.92 | 91 |
| 43.61 | 63 |
| 50.86 | 30 |
| 55.95 | 34 |
| 56.58 | 26 |
| 59.33 | 28 |


Record 7
For PrFeSb3, DFT lattice parameters and positions (GGA-PBE) gives the calculated powder X-ray diffraction pattern in this record (Cu Kα (λ = 1.5418 Å)).

Crystal structure
```
PrFeSb3
1.0
12.9798 0.0000 0.0000
0.0000 6.1584 0.0000
0.0000 0.0000 6.0734
Pr Fe Sb
4 4 12
Cartesian
2.5386 0.0088 1.5183
2.5386 3.0703 4.5550
10.4412 3.0880 1.5183
10.4412 6.1495 4.5550
5.2842 1.5396 0.0000
5.2842 1.5396 3.0367
7.6956 4.6188 0.0000
7.6956 4.6188 3.0367
0.0146 1.5396 0.0000
0.0146 1.5396 3.0367
3.7531 3.0878 1.5183
3.7531 6.1497 4.5550
5.7684 3.6601 4.5550
5.7684 5.5774 1.5183
7.2114 0.5809 4.5550
7.2114 2.4982 1.5183
9.2267 0.0086 1.5183
9.2267 3.0705 4.5550
12.9652 4.6188 0.0000
12.9652 4.6188 3.0367
```

Peak list (10 most intense, 5° ≤ 2θ ≤ 70°, in order of rising 2θ)
| two_theta | intensity |
| --- | --- |
| 27.49 | 14 |
| 30.23 | 16 |
| 32.18 | 51 |
| 32.56 | 38 |
| 34.56 | 100 |
| 35.78 | 20 |
| 36.14 | 19 |
| 41.78 | 55 |
| 55.55 | 23 |
| 61.02 | 18 |


Record 8
For PrFe9Si4, DFT lattice parameters and positions (GGA-PBE) gives the calculated powder X-ray diffraction pattern in this record (Cu Kα (λ = 1.5418 Å)).

Crystal structure
```
PrFe9Si4
1.0
-3.9178 3.9178 5.7614
3.9178 -3.9178 5.7614
3.9178 3.9178 -5.7614
Pr Fe Si
2 18 8
Cartesian
0.0000 0.0000 2.8807
0.0000 0.0000 8.6422
3.9178 0.0000 0.0000
2.9496 -0.9682 2.0711
6.2651 0.5265 0.0000
4.8859 -0.9682 3.6903
0.5265 1.5704 0.0000
4.4443 2.3473 0.0000
4.8859 0.9682 2.0711
2.3473 3.3912 0.0000
2.9496 0.9682 3.6903
0.0000 3.9178 0.0000
0.9682 2.9496 2.0711
1.5704 0.5265 5.7614
-0.9682 2.9496 3.6903
-0.5265 1.5704 5.7614
3.3912 2.3473 5.7614
-0.9682 4.8859 2.0711
-2.3473 3.3912 5.7614
0.9682 4.8859 3.6903
2.5704 1.3474 -1.3860
2.5704 -1.3474 4.3755
2.5704 1.3474 1.3860
2.5704 -1.3474 7.1474
1.3474 5.2651 -1.3860
1.3474 2.5704 4.3755
1.3474 5.2651 1.3860
1.3474 2.5704 7.1474
```

Peak list (10 most intense, 5° ≤ 2θ ≤ 70°, in order of rising 2θ)
| two_theta | intensity |
| --- | --- |
| 31.04 | 16 |
| 35.11 | 23 |
| 35.97 | 24 |
| 36.25 | 17 |
| 38.80 | 27 |
| 39.59 | 100 |
| 47.20 | 32 |
| 48.11 | 38 |
| 48.55 | 25 |
| 56.84 | 14 |


Record 9
For Pr2Fe12Si7, DFT lattice parameters and positions (GGA-PBE) gives the calculated powder X-ray diffraction pattern in this record (Cu Kα (λ = 1.5418 Å)).

Crystal structure
```
Pr2Fe12Si7
1.0
9.2056 0.0000 0.0000
-4.6028 7.9723 0.0000
0.0000 0.0000 3.8347
Pr Fe Si
2 12 7
Cartesian
0.0000 0.0000 0.0000
0.0000 5.3149 1.9174
-1.0282 2.3291 1.9174
-2.3257 6.0935 0.0000
0.4886 2.9115 0.0000
-2.0717 7.6982 1.9174
2.6727 1.4714 0.0000
3.2187 3.4119 1.9174
4.6415 1.0816 1.9174
1.8371 6.9397 0.0000
3.0999 5.9174 1.9174
4.5408 4.9220 0.0000
6.5950 1.5789 0.0000
5.9483 3.4789 1.9174
-1.7749 3.7372 0.0000
1.4053 1.8958 1.9174
-0.4789 7.6409 0.0000
2.2538 4.5666 0.0000
4.6028 2.6574 0.0000
6.8612 0.2692 1.9174
5.5420 5.8074 1.9174
```

Peak list (10 most intense, 5° ≤ 2θ ≤ 70°, in order of rising 2θ)
| two_theta | intensity |
| --- | --- |
| 25.78 | 20 |
| 29.65 | 13 |
| 33.73 | 10 |
| 37.98 | 100 |
| 39.14 | 20 |
| 40.81 | 15 |
| 45.99 | 17 |
| 47.44 | 41 |
| 55.68 | 11 |
| 63.13 | 18 |